No. 1
For Rb4SrTa3O12, DFT lattice parameters and positions (PBE) gives the calculated powder X-ray diffraction pattern in this record (CuKα).
Neutral-atom scattering factors, no anomalous dispersion.

Largest 10 diffraction maxima, sorted by position, 15° ≤ 2θ ≤ 90°:
- d = 4.262 Å, 20.84 deg, rel. 18
- d = 3.480 Å, 25.60 deg, rel. 3
- d = 3.014 Å, 29.64 deg, rel. 100
- d = 2.131 Å, 42.42 deg, rel. 30
- d = 1.906 Å, 47.72 deg, rel. 8
- d = 1.740 Å, 52.60 deg, rel. 41
- d = 1.507 Å, 61.54 deg, rel. 19
- d = 1.348 Å, 69.78 deg, rel. 18
- d = 1.230 Å, 77.60 deg, rel. 6
- d = 1.139 Å, 85.19 deg, rel. 22

Cell and atoms:
Cell lengths 7.382, 7.382, 7.382 Å; angles 109.47, 109.47, 109.47 degrees
Sites, in units of the cell vectors:
Rb 0.000 0.000 0.500
Rb 0.000 0.500 0.000
Rb 0.500 0.000 0.000
Rb 0.500 0.500 0.500
Sr 0.000 0.000 0.000
Ta 0.000 0.500 0.500
Ta 0.500 0.000 0.500
Ta 0.500 0.500 0.000
O 0.000 0.278 0.278
O 0.000 0.722 0.722
O 0.250 0.500 0.750
O 0.250 0.750 0.500
O 0.278 0.000 0.278
O 0.278 0.278 0.000
O 0.500 0.250 0.750
O 0.500 0.750 0.250
O 0.722 0.000 0.722
O 0.722 0.722 0.000
O 0.750 0.250 0.500
O 0.750 0.500 0.250



No. 2
For RbSr2UO6, DFT lattice parameters and positions (PBE) gives the calculated powder X-ray diffraction pattern in this record (CuKα).
Neutral-atom scattering factors, no anomalous dispersion.

Largest 10 diffraction maxima, sorted by position, 15° ≤ 2θ ≤ 90°:
- d = 5.307 Å, 16.71 deg, rel. 35
- d = 4.470 Å, 19.86 deg, rel. 11
- d = 3.246 Å, 27.48 deg, rel. 22
- d = 3.208 Å, 27.81 deg, rel. 100
- d = 3.082 Å, 28.97 deg, rel. 21
- d = 2.235 Å, 40.36 deg, rel. 22
- d = 2.098 Å, 43.12 deg, rel. 11
- d = 1.867 Å, 48.79 deg, rel. 24
- d = 1.803 Å, 50.64 deg, rel. 22
- d = 1.604 Å, 57.45 deg, rel. 12

Cell and atoms:
Cell lengths 6.163, 6.491, 11.081 Å; angles 90.00, 123.73, 90.00 degrees
Sites, in units of the cell vectors:
Rb 0.000 0.000 0.000
Rb 0.000 0.500 0.500
Sr 0.216 0.002 0.717
Sr 0.216 0.498 0.217
Sr 0.784 0.502 0.783
Sr 0.784 0.998 0.283
U 0.500 0.000 0.500
U 0.500 0.500 0.000
O 0.202 0.691 0.847
O 0.202 0.809 0.347
O 0.207 0.147 0.499
O 0.207 0.353 0.999
O 0.485 0.184 0.342
O 0.485 0.316 0.842
O 0.515 0.684 0.158
O 0.515 0.816 0.658
O 0.793 0.647 0.001
O 0.793 0.853 0.501
O 0.798 0.191 0.653
O 0.798 0.309 0.153



No. 3
For Rb8Ta6O19, DFT lattice parameters and positions (PBE) gives the calculated powder X-ray diffraction pattern in this record (CuKα).
Neutral-atom scattering factors, no anomalous dispersion.

Largest 10 diffraction maxima, sorted by position, 15° ≤ 2θ ≤ 90°:
- d = 3.997 Å, 22.24 deg, rel. 20
- d = 3.158 Å, 28.26 deg, rel. 100
- d = 3.142 Å, 28.41 deg, rel. 55
- d = 2.847 Å, 31.42 deg, rel. 17
- d = 2.599 Å, 34.50 deg, rel. 12
- d = 2.348 Å, 38.33 deg, rel. 13
- d = 2.244 Å, 40.18 deg, rel. 15
- d = 2.222 Å, 40.61 deg, rel. 27
- d = 1.827 Å, 49.93 deg, rel. 20
- d = 1.579 Å, 58.46 deg, rel. 15

Cell and atoms:
Cell lengths 9.731, 9.731, 9.731 Å; angles 118.61, 118.61, 92.43 degrees
Sites, in units of the cell vectors:
Rb 0.056 0.871 0.641
Rb 0.129 0.770 0.185
Rb 0.230 0.415 0.359
Rb 0.415 0.056 0.185
Rb 0.585 0.944 0.815
Rb 0.770 0.585 0.641
Rb 0.871 0.230 0.815
Rb 0.944 0.129 0.359
Ta 0.283 0.605 0.888
Ta 0.326 0.326 0.000
Ta 0.395 0.283 0.677
Ta 0.605 0.717 0.323
Ta 0.674 0.674 0.000
Ta 0.717 0.395 0.112
O 0.125 0.701 0.826
O 0.176 0.444 0.912
O 0.190 0.190 0.000
O 0.236 0.412 0.648
O 0.263 0.176 0.732
O 0.299 0.125 0.424
O 0.412 0.764 0.176
O 0.444 0.531 0.268
O 0.469 0.737 0.912
O 0.500 0.500 0.000
O 0.531 0.263 0.088
O 0.556 0.469 0.732
O 0.588 0.236 0.824
O 0.701 0.875 0.576
O 0.737 0.824 0.268
O 0.764 0.588 0.352
O 0.810 0.810 0.000
O 0.824 0.556 0.088
O 0.875 0.299 0.174



No. 4
For Rb2TaZn2O6, DFT lattice parameters and positions (PBE) gives the calculated powder X-ray diffraction pattern in this record (CuKα).
Neutral-atom scattering factors, no anomalous dispersion.

Largest 10 diffraction maxima, sorted by position, 15° ≤ 2θ ≤ 90°:
- d = 4.989 Å, 17.78 deg, rel. 22
- d = 2.999 Å, 29.79 deg, rel. 92
- d = 2.950 Å, 30.30 deg, rel. 100
- d = 2.103 Å, 43.00 deg, rel. 31
- d = 1.732 Å, 52.87 deg, rel. 18
- d = 1.722 Å, 53.19 deg, rel. 44
- d = 1.695 Å, 54.12 deg, rel. 21
- d = 1.500 Å, 61.87 deg, rel. 18
- d = 1.337 Å, 70.43 deg, rel. 17
- d = 1.324 Å, 71.24 deg, rel. 16

Cell and atoms:
Cell lengths 6.905, 6.905, 6.905 Å; angles 51.49, 51.49, 51.49 degrees
Sites, in units of the cell vectors:
Rb 0.210 0.210 0.210
Rb 0.790 0.790 0.790
Ta 0.000 0.000 0.000
Zn 0.399 0.399 0.399
Zn 0.601 0.601 0.601
O 0.221 0.221 0.761
O 0.221 0.761 0.221
O 0.239 0.779 0.779
O 0.761 0.221 0.221
O 0.779 0.239 0.779
O 0.779 0.779 0.239



No. 5
For Rb3TaZn2O6, DFT lattice parameters and positions (PBE) gives the calculated powder X-ray diffraction pattern in this record (CuKα).
Neutral-atom scattering factors, no anomalous dispersion.

Largest 10 diffraction maxima, sorted by position, 15° ≤ 2θ ≤ 90°:
- d = 5.231 Å, 16.95 deg, rel. 23
- d = 3.020 Å, 29.58 deg, rel. 100
- d = 2.970 Å, 30.09 deg, rel. 98
- d = 2.786 Å, 32.13 deg, rel. 12
- d = 2.117 Å, 42.70 deg, rel. 42
- d = 1.744 Å, 52.48 deg, rel. 20
- d = 1.734 Å, 52.80 deg, rel. 43
- d = 1.548 Å, 59.72 deg, rel. 15
- d = 1.510 Å, 61.40 deg, rel. 17
- d = 1.346 Å, 69.89 deg, rel. 17

Cell and atoms:
Cell lengths 6.040, 6.040, 7.214 Å; angles 90.00, 90.00, 120.00 degrees
Sites, in units of the cell vectors:
Rb 0.000 0.000 0.000
Rb 0.333 0.667 0.742
Rb 0.667 0.333 0.258
Ta 0.000 0.000 0.500
Zn 0.333 0.667 0.324
Zn 0.667 0.333 0.676
O 0.154 0.307 0.330
O 0.154 0.846 0.330
O 0.307 0.154 0.670
O 0.693 0.846 0.330
O 0.846 0.154 0.670
O 0.846 0.693 0.670



Please write out number 4 again, unchanged.
For Rb2TaZn2O6, DFT lattice parameters and positions (PBE) gives the calculated powder X-ray diffraction pattern in this record (CuKα).
Neutral-atom scattering factors, no anomalous dispersion.

Largest 10 diffraction maxima, sorted by position, 15° ≤ 2θ ≤ 90°:
- d = 4.989 Å, 17.78 deg, rel. 22
- d = 2.999 Å, 29.79 deg, rel. 92
- d = 2.950 Å, 30.30 deg, rel. 100
- d = 2.103 Å, 43.00 deg, rel. 31
- d = 1.732 Å, 52.87 deg, rel. 18
- d = 1.722 Å, 53.19 deg, rel. 44
- d = 1.695 Å, 54.12 deg, rel. 21
- d = 1.500 Å, 61.87 deg, rel. 18
- d = 1.337 Å, 70.43 deg, rel. 17
- d = 1.324 Å, 71.24 deg, rel. 16

Cell and atoms:
Cell lengths 6.905, 6.905, 6.905 Å; angles 51.49, 51.49, 51.49 degrees
Sites, in units of the cell vectors:
Rb 0.210 0.210 0.210
Rb 0.790 0.790 0.790
Ta 0.000 0.000 0.000
Zn 0.399 0.399 0.399
Zn 0.601 0.601 0.601
O 0.221 0.221 0.761
O 0.221 0.761 0.221
O 0.239 0.779 0.779
O 0.761 0.221 0.221
O 0.779 0.239 0.779
O 0.779 0.779 0.239



Copy entry 3 word for word.
For Rb8Ta6O19, DFT lattice parameters and positions (PBE) gives the calculated powder X-ray diffraction pattern in this record (CuKα).
Neutral-atom scattering factors, no anomalous dispersion.

Largest 10 diffraction maxima, sorted by position, 15° ≤ 2θ ≤ 90°:
- d = 3.997 Å, 22.24 deg, rel. 20
- d = 3.158 Å, 28.26 deg, rel. 100
- d = 3.142 Å, 28.41 deg, rel. 55
- d = 2.847 Å, 31.42 deg, rel. 17
- d = 2.599 Å, 34.50 deg, rel. 12
- d = 2.348 Å, 38.33 deg, rel. 13
- d = 2.244 Å, 40.18 deg, rel. 15
- d = 2.222 Å, 40.61 deg, rel. 27
- d = 1.827 Å, 49.93 deg, rel. 20
- d = 1.579 Å, 58.46 deg, rel. 15

Cell and atoms:
Cell lengths 9.731, 9.731, 9.731 Å; angles 118.61, 118.61, 92.43 degrees
Sites, in units of the cell vectors:
Rb 0.056 0.871 0.641
Rb 0.129 0.770 0.185
Rb 0.230 0.415 0.359
Rb 0.415 0.056 0.185
Rb 0.585 0.944 0.815
Rb 0.770 0.585 0.641
Rb 0.871 0.230 0.815
Rb 0.944 0.129 0.359
Ta 0.283 0.605 0.888
Ta 0.326 0.326 0.000
Ta 0.395 0.283 0.677
Ta 0.605 0.717 0.323
Ta 0.674 0.674 0.000
Ta 0.717 0.395 0.112
O 0.125 0.701 0.826
O 0.176 0.444 0.912
O 0.190 0.190 0.000
O 0.236 0.412 0.648
O 0.263 0.176 0.732
O 0.299 0.125 0.424
O 0.412 0.764 0.176
O 0.444 0.531 0.268
O 0.469 0.737 0.912
O 0.500 0.500 0.000
O 0.531 0.263 0.088
O 0.556 0.469 0.732
O 0.588 0.236 0.824
O 0.701 0.875 0.576
O 0.737 0.824 0.268
O 0.764 0.588 0.352
O 0.810 0.810 0.000
O 0.824 0.556 0.088
O 0.875 0.299 0.174